Diffraction record for LiTl16Sn12. The powder diffraction line list is computed, not measured: it uses DFT lattice parameters and positions (PBE) and CuKα.

Atomic structure:
Cell lengths 12.0090, 17.0315, 10.4078 Å; angles 90.00, 125.03, 90.00 degrees
Space group Cm (No. 8)
One atom of each set of equivalent atoms:
Li 0.0000 0.0000 0.0000 [2 per cell]
Tl 0.0049 0.3213 0.3205 [4 per cell]
Tl 0.0238 0.3436 0.7171 [4 per cell]
Tl 0.0418 0.0000 0.6732 [2 per cell]
Tl 0.1258 0.1582 0.9202 [4 per cell]
Tl 0.1829 0.5000 0.3154 [2 per cell]
Tl 0.1985 0.5000 0.9634 [2 per cell]
Tl 0.1986 0.1988 0.6344 [4 per cell]
Tl 0.2213 0.1402 0.3134 [4 per cell]
Tl 0.2874 0.0000 0.6055 [2 per cell]
Tl 0.3816 0.3009 0.0014 [4 per cell]
Sn 0.0010 0.5000 0.4985 [2 per cell]
Sn 0.1791 0.3189 0.1343 [4 per cell]
Sn 0.2808 0.4081 0.6881 [4 per cell]
Sn 0.3130 0.0000 0.1413 [2 per cell]
Sn 0.3665 0.3168 0.5047 [4 per cell]
Sn 0.4100 0.0923 0.9568 [4 per cell]
Sn 0.4591 0.4111 0.3153 [4 per cell]

Largest 10 diffraction maxima, low angle first, 2θ = 10–90°:
- d 3.008, intensity 67, (4 0 -2)
- d 2.839, intensity 1000, (0 0 3)
- d 2.831, intensity 379, (3 3 -3)
- d 2.568, intensity 132, (2 0 2)
- d 2.563, intensity 115, (3 1 -4)
- d 2.458, intensity 107, (2 2 -4)
- d 2.362, intensity 82, (1 7 0)
- d 1.640, intensity 176, (1 5 4)
- d 1.638, intensity 140, (2 8 -4)
- d 1.634, intensity 117, (7 1 -5)